No. 1
# CaMn2P2O9
Theoretical powder X-ray diffraction pattern, a wavelength of 1.5418 Å. Input: a PBE+U-relaxed structure.

Most intense lines, 15 to 90 degrees two-theta, in order of rising 2θ:
Position (°2θ)	I/Imax
17.26	34
24.74	100
27.10	45
27.85	22
30.37	49
33.78	33
35.35	23
36.49	18
55.90	18
56.66	19

Cell and atoms:
```
CaMn2P2O9
1.0
14.200 0.000 0.000
0.000 6.579 0.000
0.000 0.000 7.441
Ca Mn P O
4 8 8 36
direct
0.217 0.250 0.109
0.283 0.750 0.609
0.717 0.250 0.391
0.783 0.750 0.891
0.000 0.000 0.000
0.000 0.500 0.000
0.116 0.250 0.648
0.384 0.750 0.148
0.500 0.000 0.500
0.500 0.500 0.500
0.616 0.250 0.852
0.884 0.750 0.352
0.067 0.750 0.623
0.196 0.750 0.088
0.304 0.250 0.588
0.433 0.250 0.123
0.567 0.750 0.877
0.696 0.750 0.412
0.804 0.250 0.912
0.933 0.250 0.377
0.005 0.750 0.455
0.006 0.750 0.796
0.054 0.250 0.891
0.134 0.557 0.088
0.134 0.943 0.088
0.135 0.565 0.621
0.135 0.935 0.621
0.230 0.250 0.436
0.241 0.250 0.764
0.259 0.750 0.264
0.270 0.750 0.936
0.365 0.065 0.121
0.365 0.435 0.121
0.366 0.057 0.588
0.366 0.443 0.588
0.446 0.750 0.391
0.494 0.250 0.296
0.495 0.250 0.955
0.505 0.750 0.045
0.506 0.750 0.704
0.554 0.250 0.609
0.634 0.557 0.412
0.634 0.943 0.412
0.635 0.565 0.879
0.635 0.935 0.879
0.730 0.250 0.064
0.741 0.250 0.736
0.759 0.750 0.236
0.770 0.750 0.564
0.865 0.065 0.379
0.865 0.435 0.379
0.866 0.057 0.912
0.866 0.443 0.912
0.946 0.750 0.109
0.994 0.250 0.204
0.995 0.250 0.545
```



No. 2
# SrCaMnP2O8
Theoretical powder X-ray diffraction pattern, a wavelength of 1.5418 Å. Input: a PBE+U-relaxed structure.

Most intense lines, 15 to 90 degrees two-theta, in order of rising 2θ:
Position (°2θ)	I/Imax
21.59	19
27.82	100
29.48	55
30.44	50
31.47	45
32.33	28
32.56	39
46.07	19
48.51	18
49.43	22

Cell and atoms:
```
SrCaMnP2O8
1.0
5.762 0.000 0.000
-1.086 6.868 0.000
-1.947 -3.501 8.797
Sr Ca Mn P O
2 2 2 4 16
direct
0.234 0.193 0.443
0.766 0.807 0.557
0.491 0.577 0.835
0.509 0.423 0.165
0.138 0.838 0.061
0.862 0.162 0.939
0.119 0.588 0.284
0.333 0.036 0.801
0.667 0.964 0.199
0.881 0.412 0.716
0.083 0.427 0.119
0.111 0.452 0.660
0.122 0.968 0.869
0.175 0.811 0.279
0.230 0.008 0.635
0.348 0.552 0.382
0.472 0.097 0.186
0.473 0.269 0.905
0.527 0.731 0.095
0.528 0.903 0.814
0.652 0.448 0.618
0.770 0.992 0.365
0.825 0.189 0.721
0.878 0.032 0.131
0.889 0.548 0.340
0.917 0.573 0.881
```



No. 3
# Ca2MnPbO4
Theoretical powder X-ray diffraction pattern, a wavelength of 1.5418 Å. Input: a PBE+U-relaxed structure.

Most intense lines, 15 to 90 degrees two-theta, in order of rising 2θ:
Position (°2θ)	I/Imax
15.64	100
18.20	33
30.40	74
31.58	65
31.87	63
36.75	94
36.89	46
40.34	26
53.05	61
63.31	29

Cell and atoms:
```
Ca2MnPbO4
1.0
-3.436 3.482 4.873
3.436 -3.482 4.873
3.436 3.482 -4.873
Ca Mn Pb O
4 2 2 8
direct
0.000 0.000 0.000
0.500 0.000 0.000
0.500 0.000 0.500
0.500 0.500 0.500
0.000 0.500 0.500
0.500 0.500 0.000
0.000 0.000 0.500
0.000 0.500 0.000
0.258 0.263 0.505
0.258 0.753 0.995
0.264 0.744 0.520
0.276 0.256 0.020
0.724 0.744 0.980
0.736 0.256 0.480
0.742 0.247 0.005
0.742 0.737 0.495
```



No. 4
# CaMn2PbO6
Theoretical powder X-ray diffraction pattern, a wavelength of 1.5418 Å. Input: a PBE+U-relaxed structure.

Most intense lines, 15 to 90 degrees two-theta, in order of rising 2θ:
Position (°2θ)	I/Imax
19.83	65
22.94	15
32.66	100
32.73	20
38.50	35
40.30	19
46.88	36
51.35	16
58.27	36
58.38	16

Cell and atoms:
```
CaMn2PbO6
1.0
3.873 -3.879 0.000
3.873 3.879 0.000
-3.860 0.000 3.877
Ca Mn Pb O
1 2 1 6
direct
0.000 0.000 0.000
0.265 0.760 0.513
0.760 0.265 0.513
0.530 0.530 0.030
0.103 0.103 0.602
0.423 0.423 0.424
0.562 0.960 0.013
0.562 0.960 0.509
0.960 0.562 0.013
0.960 0.562 0.509
```



No. 5
# Ca2MnPbO5
Theoretical powder X-ray diffraction pattern, a wavelength of 1.5418 Å. Input: a PBE+U-relaxed structure.

Most intense lines, 15 to 90 degrees two-theta, in order of rising 2θ:
Position (°2θ)	I/Imax
15.71	45
20.06	34
25.79	49
27.38	28
29.07	50
31.03	100
32.22	29
34.81	45
45.34	28
50.16	34

Cell and atoms:
```
Ca2MnPbO5
1.0
1.685 -6.342 0.000
1.685 6.342 0.000
0.000 0.000 12.361
Ca Mn Pb O
4 2 2 10
direct
0.059 0.941 0.500
0.174 0.826 0.102
0.826 0.174 0.602
0.941 0.059 0.000
0.259 0.741 0.872
0.741 0.259 0.372
0.444 0.556 0.274
0.556 0.444 0.774
0.106 0.894 0.891
0.237 0.763 0.507
0.256 0.744 0.269
0.408 0.592 0.878
0.470 0.530 0.608
0.530 0.470 0.108
0.592 0.408 0.378
0.744 0.256 0.769
0.763 0.237 0.007
0.894 0.106 0.391
```



No. 6
# Ca5MnSi9Pb9O33
Theoretical powder X-ray diffraction pattern, a wavelength of 1.5418 Å. Input: a PBE+U-relaxed structure.

Most intense lines, 15 to 90 degrees two-theta, in order of rising 2θ:
Position (°2θ)	I/Imax
17.77	71
19.77	70
24.85	88
25.98	72
28.67	100
31.04	68
31.65	78
32.46	81
44.88	55
49.87	54

Cell and atoms:
```
Ca5MnSi9Pb9O33
1.0
9.982 0.000 0.000
-4.991 8.644 0.000
0.000 0.000 10.291
Ca Mn Si Pb O
5 1 9 9 33
direct
0.000 0.000 0.000
0.000 0.000 0.339
0.000 0.000 0.661
0.667 0.333 0.321
0.667 0.333 0.679
0.667 0.333 0.000
0.313 0.049 0.148
0.313 0.049 0.852
0.357 0.282 0.500
0.718 0.076 0.500
0.737 0.687 0.148
0.737 0.687 0.852
0.924 0.643 0.500
0.951 0.263 0.148
0.951 0.263 0.852
0.063 0.669 0.177
0.063 0.669 0.823
0.065 0.414 0.500
0.331 0.395 0.177
0.331 0.395 0.823
0.349 0.935 0.500
0.586 0.651 0.500
0.605 0.937 0.177
0.605 0.937 0.823
0.035 0.294 0.000
0.093 0.357 0.252
0.093 0.357 0.748
0.174 0.162 0.500
0.199 0.126 0.170
0.199 0.126 0.830
0.259 0.965 0.000
0.264 0.907 0.252
0.264 0.907 0.748
0.420 0.404 0.376
0.420 0.404 0.624
0.463 0.196 0.500
0.493 0.181 0.151
0.493 0.181 0.849
0.596 0.016 0.376
0.596 0.016 0.624
0.643 0.736 0.252
0.643 0.736 0.748
0.688 0.507 0.151
0.688 0.507 0.849
0.706 0.741 0.000
0.733 0.537 0.500
0.804 0.267 0.500
0.819 0.312 0.151
0.819 0.312 0.849
0.838 0.012 0.500
0.874 0.073 0.170
0.874 0.073 0.830
0.927 0.801 0.170
0.927 0.801 0.830
0.984 0.580 0.376
0.984 0.580 0.624
0.988 0.826 0.500
```